Starting from the PBE+U geometry in OQMD, the XRD peak list of CoReO3 was computed for Cu Ka.
Neutral-atom scattering factors, no anomalous dispersion.

Structural model:
a = 4.8103 Å, b = 4.8103 Å, c = 15.1984 Å
α = 90.00°, β = 90.00°, γ = 120.00°
Space group R-3 (No. 148, hexagonal axes)
Unique sites:
Co  0.0000  0.0000  0.1562 (multiplicity 6)
Re  0.0000  0.0000  0.3387 (multiplicity 6)
O  0.0038  0.3424  0.4158 (multiplicity 18)

Peak list (12 most intense, 10 to 90 degrees two-theta, by angle)
2θ 17.5, I 63, (0 0 3)
2θ 22.1, I 28, (1 0 1)
2θ 24.4, I 68, (0 1 2)
2θ 31.9, I 74, (1 0 4)
2θ 35.4, I 27, (0 0 6)
2θ 37.4, I 98, (1 1 0)
2θ 41.6, I 49, (2 -1 3)
2θ 49.9, I 22, (0 2 4)
2θ 52.5, I 100, (2 -1 6)
2θ 64.0, I 20, (2 1 4)
2θ 67.4, I 28, (3 0 0)
2θ 78.6, I 19, (3 0 6)